Simulated PXRD pattern of BaCd3Cu4Cl12 for a wavelength of 1.5418 Å, from a PBE-relaxed structure.
No peak broadening, texture or thermal motion is included.

The 10 most intense peaks (5° ≤ 2θ ≤ 70°), low angle first:
(hkl)  two_theta  intensity
2 1 1  21.65  53
3 0 0  22.38  24
2 0 2  23.26  100
1 1 3  29.84  25
3 1 2  32.50  35
2 3 2  37.52  28
0 2 4  39.15  22
5 0 2  42.02  34
5 2 0  47.66  36
0 7 2  57.18  24

```
data_BaCd3Cu4Cl12
_chemical_formula_sum 'Ba3 Cd9 Cu12 Cl36'
_cell_length_a 13.7589
_cell_length_b 13.7589
_cell_length_c 9.9771
_cell_angle_alpha 90.00
_cell_angle_beta 90.00
_cell_angle_gamma 120.00
_space_group_name_H-M_alt 'R 3 2'
_space_group_IT_number 155
_space_group_name_Hall 'R 3 2"'
loop_
_atom_site_label
_atom_site_type_symbol
_atom_site_fract_x
_atom_site_fract_y
_atom_site_fract_z
Ba1 Ba 0.0000 0.0000 0.0000
Cd1 Cd 0.0000 0.5747 0.0000
Cu1 Cu 0.0000 0.0000 0.5000
Cu2 Cu 0.0000 0.4061 0.5000
Cl1 Cl 0.0000 0.5832 0.5000
Cl2 Cl 0.0000 0.8385 0.5000
Cl3 Cl 0.0534 0.2099 0.1861
```

***

Simulated PXRD pattern of BaMn2CdCl8 for a wavelength of 1.5418 Å, from a PBE-relaxed structure.
No peak broadening, texture or thermal motion is included.

The 10 most intense peaks (5° ≤ 2θ ≤ 70°), low angle first:
(hkl)  two_theta  intensity
1 0 -1  19.47  100
1 0 1  20.08  74
1 2 0  26.23  67
1 2 1  29.92  66
1 0 -2  30.79  31
1 2 -2  38.14  34
2 2 -1  38.68  67
2 2 1  39.33  38
0 2 3  47.87  40
3 2 0  49.22  31

```
data_BaMn2CdCl8
_chemical_formula_sum 'Ba1 Mn2 Cd1 Cl8'
_cell_length_a 6.2478
_cell_length_b 8.1001
_cell_length_c 6.4587
_cell_angle_alpha 90.00
_cell_angle_beta 91.74
_cell_angle_gamma 90.00
_space_group_name_H-M_alt 'P 1 2/m 1'
_space_group_IT_number 10
loop_
_space_group_symop_operation_xyz
'x,y,z'
'-x,-y,-z'
'-x,y,-z'
'x,-y,z'
loop_
_atom_site_label
_atom_site_type_symbol
_atom_site_fract_x
_atom_site_fract_y
_atom_site_fract_z
Ba1 Ba 0.0000 0.0000 0.0000
Mn1 Mn 0.5000 0.2629 0.5000
Cd1 Cd 0.0000 0.5000 0.0000
Cl1 Cl 0.2576 0.2807 0.1801
Cl2 Cl 0.2773 0.5000 0.6575
Cl3 Cl 0.2936 0.0000 0.6310
```